Structure and calculated powder X-ray diffraction pattern of Pm2GePdPt6 (DFT lattice parameters and positions (GGA-PBE); Cu Kα (weighted mean of Kα1 and Kα2)).
Peak positions follow from Bragg's law for the DFT cell and can differ from measured ones.

Structure:
Lattice parameters (Å, degrees): 6.5229 6.5229 8.5485 128.11 128.11 49.01
Positions (direct):
1 Pm 0.0297 0.0297 0.2990
2 Pm 0.9703 0.9703 0.7010
3 Ge 0.5000 0.5000 0.0000
4 Pd 0.5000 0.5000 0.5000
5 Pt 0.0102 0.5182 0.7453
6 Pt 0.3341 0.3341 0.0843
7 Pt 0.4818 0.9898 0.2547
8 Pt 0.5182 0.0102 0.7453
9 Pt 0.6659 0.6659 0.9157
10 Pt 0.9898 0.4818 0.2547

Top 6 peaks for 2θ from 10° to 80°, most intense first:
d (Å)	2θ (°)	Rel. int.
2.285	39.43	100.0
2.299	39.18	70.3
2.134	42.36	67.2
2.149	42.04	40.4
4.361	20.36	40.2
2.050	44.18	38.7

---

Structure and calculated powder X-ray diffraction pattern of Pr2Ge3Pd6 (DFT lattice parameters and positions (GGA-PBE); Cu Kα (weighted mean of Kα1 and Kα2)).
Peak positions follow from Bragg's law for the DFT cell and can differ from measured ones.

Structure:
Lattice parameters (Å, degrees): 7.4828 7.4828 4.3969 90.00 90.00 120.00
Positions (direct):
1 Pr 0.3333 0.6667 0.0000
2 Pr 0.6667 0.3333 0.0000
3 Ge 0.0000 0.6293 0.5000
4 Ge 0.3707 0.3707 0.5000
5 Ge 0.6293 0.0000 0.5000
6 Pd 0.0000 0.2971 0.5000
7 Pd 0.0000 0.7892 0.0000
8 Pd 0.2108 0.2108 0.0000
9 Pd 0.2971 0.0000 0.5000
10 Pd 0.7029 0.7029 0.5000
11 Pd 0.7892 0.0000 0.0000

Top 6 peaks for 2θ from 10° to 80°, most intense first:
d (Å)	2θ (°)	Rel. int.
2.849	31.39	100.0
2.140	42.24	66.7
2.160	41.82	37.1
2.198	41.06	34.5
1.346	69.87	26.7
1.541	60.04	25.2